Calculated powder X-ray diffraction pattern
Compound: PmThHg6
Radiation: Cu Kα (λ = 1.5418 Å)
Structure: a DFT-relaxed cell (PBE, OQMD)
Neutral-atom scattering factors, no anomalous dispersion.

Main lines, by intensity (10° ≤ 2θ ≤ 80°):
two_theta  d_spacing  I/Imax  index
35.21  2.549  100  1 2 2
30.26  2.954  25  0 0 4
66.15  1.413  22  2 4 0
35.60  2.522  22  2 0 0
53.75  1.705  20  0 4 0
63.69  1.461  18  3 2 2
65.90  1.417  16  1 0 8
47.40  1.918  15  2 0 4
74.45  1.274  4  2 4 4
62.93  1.477  3  0 4 4
75.38  1.261  3  4 0 0
15.00  5.907  1  0 1 1

Structure:
a = 5.0440 Å, b = 6.8266 Å, c = 11.8056 Å
α = 90.00°, β = 90.00°, γ = 90.00°
Space group Amm2 (No. 38)
Unique sites:
1 Pm 0.0000 0.0000 0.0000
2 Th 0.5000 0.0000 0.6674
3 Hg 0.0000 0.0000 0.4970
4 Hg 0.0000 0.2445 0.2519
5 Hg 0.5000 0.0000 0.1706
6 Hg 0.5000 0.2443 0.4154

***

Calculated powder X-ray diffraction pattern
Compound: Pr3HgPt8
Radiation: Cu Kα (λ = 1.5418 Å)
Structure: a DFT-relaxed cell (PBE, OQMD)
Neutral-atom scattering factors, no anomalous dispersion.

Main lines, by intensity (10° ≤ 2θ ≤ 80°):
two_theta  d_spacing  I/Imax  index
38.40  2.344  100  1 1 6
40.18  2.244  48  0 0 12
68.24  1.374  29  2 2 0
32.58  2.749  20  1 1 0
62.01  1.497  20  2 0 14
19.78  4.489  13  0 1 2
62.05  1.496  13  3 0 6
46.73  1.944  9  2 0 8
58.12  1.587  5  1 2 8
51.21  1.784  4  0 2 10
77.68  1.229  3  3 1 8
58.16  1.586  2  3 0 0

Structure:
a = 5.4944 Å, b = 5.4944 Å, c = 26.9645 Å
α = 90.00°, β = 90.00°, γ = 120.00°
Space group R3m (No. 160, hexagonal axes)
Unique sites:
1 Pr 0.0000 0.0000 0.0000
2 Pr 0.0000 0.0000 0.1290
3 Pr 0.0000 0.0000 0.5146
4 Hg 0.0000 0.0000 0.6361
5 Pt 0.0000 0.0000 0.3188
6 Pt 0.0000 0.0000 0.8189
7 Pt 0.0012 0.5006 0.0701
8 Pt 0.1686 0.3372 0.9012

***

Calculated powder X-ray diffraction pattern
Compound: RbPrHgS3
Radiation: Cu Kα (λ = 1.5418 Å)
Structure: a DFT-relaxed cell (PBE, OQMD)
Neutral-atom scattering factors, no anomalous dispersion.

Main lines, by intensity (10° ≤ 2θ ≤ 80°):
two_theta  d_spacing  I/Imax  index
28.74  3.106  100  1 1 -2
25.90  3.440  67  3 1 0
30.51  2.930  40  6 0 0
24.52  3.630  35  2 0 2
42.10  2.146  31  5 1 2
25.02  3.559  24  4 0 -2
10.06  8.790  23  2 0 0
42.54  2.125  21  0 2 0
36.41  2.468  21  1 1 -3
42.72  2.117  20  7 1 -2
39.61  2.275  18  2 0 -4
50.26  1.815  18  4 0 4

Structure:
a = 18.0732 Å, b = 4.2500 Å, c = 9.1027 Å
α = 90.00°, β = 103.41°, γ = 90.00°
Space group C2/m (No. 12)
Unique sites:
1 Rb 0.1428 0.0000 0.0718
2 Pr 0.1687 0.0000 0.5800
3 Hg 0.0163 0.5000 0.7272
4 S 0.0000 0.0000 0.5000
5 S 0.0000 0.5000 0.0000
6 S 0.1652 0.5000 0.7885
7 S 0.1703 0.5000 0.3702

***

Calculated powder X-ray diffraction pattern
Compound: PrScHg6
Radiation: Cu Kα (λ = 1.5418 Å)
Structure: a DFT-relaxed cell (PBE, OQMD)
Neutral-atom scattering factors, no anomalous dispersion.

Main lines, by intensity (10° ≤ 2θ ≤ 80°):
two_theta  d_spacing  I/Imax  index
36.18  2.483  100  2 0 1
68.10  1.377  37  2 2 2
31.24  2.863  25  2 0 0
36.04  2.492  23  0 0 2
55.59  1.653  19  2 2 0
64.89  1.437  19  2 0 3
48.42  1.880  15  2 0 2
23.66  3.760  9  1 0 1
76.78  1.241  4  4 0 2
15.47  5.727  4  1 0 0
26.97  3.306  3  1 1 0
65.16  1.432  3  4 0 0

Structure:
a = 6.6124 Å, b = 6.6124 Å, c = 4.9844 Å
α = 90.00°, β = 90.00°, γ = 120.00°
Space group P-6m2 (No. 187)
Unique sites:
1 Pr 0.0000 0.0000 0.0000
2 Sc 0.3333 0.6667 0.5000
3 Hg 0.0108 0.5054 0.0000
4 Hg 0.3453 0.1726 0.5000